Structure and calculated XRD peak list of CeGa3Ni (the GGA-PBE geometry in the Materials Project; Cu Kα (weighted mean of Kα1 and Kα2)).
No peak broadening, texture or thermal motion is included.

Structural model:
```
10
Lattice="4.1740 0.0000 0.0000 0.0000 4.1740 0.0000 0.0000 0.0000 10.3389" Properties=species:S:1:pos:R:3 pbc="T T T"
Ce 0.0000 0.0000 0.0000
Ce 2.0870 2.0870 5.1695
Ga 0.0000 0.0000 3.9337
Ga 0.0000 0.0000 6.4052
Ga 0.0000 2.0870 2.5847
Ga 2.0870 0.0000 7.7542
Ga 2.0870 2.0870 1.2357
Ga 2.0870 2.0870 9.1032
Ni 0.0000 2.0870 7.7542
Ni 2.0870 0.0000 2.5847
```

Most intense lines, 2θ from 10° to 90°, in order of rising 2θ:
2theta  Rel. int.  h k l
30.3  19  1 1 0
33.7  72  1 0 3
35.0  100  1 1 2
43.4  59  2 0 0
49.2  31  1 0 5
56.0  33  2 1 3
67.6  23  2 1 5
74.1  21  3 1 2

Structure and calculated XRD peak list of Ce2Ga12Ni (the GGA-PBE geometry in the Materials Project; Cu Kα (weighted mean of Kα1 and Kα2)).
No peak broadening, texture or thermal motion is included.

Structural model:
```
30
Lattice="6.0408 0.0000 0.0000 0.0000 6.0408 0.0000 0.0000 0.0000 15.5646" Properties=species:S:1:pos:R:3 pbc="T T T"
Ce 1.5102 4.5306 3.7823
Ce 1.5102 4.5306 11.7823
Ce 4.5306 1.5102 3.7823
Ce 4.5306 1.5102 11.7823
Ga 0.0016 6.0391 1.3045
Ga 6.0391 0.0016 14.2601
Ga 6.0391 3.0188 1.3045
Ga 0.0016 3.0220 14.2601
Ga 0.4473 3.4677 6.6530
Ga 0.4473 5.5934 8.9116
Ga 1.5102 1.5102 2.8360
Ga 1.5102 1.5102 5.2697
Ga 1.5102 1.5102 10.2949
Ga 1.5102 1.5102 12.7286
Ga 2.5731 3.4677 8.9116
Ga 2.5731 5.5934 6.6530
Ga 3.0220 0.0016 1.3045
Ga 3.0188 6.0391 14.2601
Ga 3.0188 3.0220 1.3045
Ga 3.0220 3.0188 14.2601
Ga 3.4677 0.4473 8.9116
Ga 3.4677 2.5731 6.6530
Ga 4.5306 4.5306 2.8360
Ga 4.5306 4.5306 5.2697
Ga 4.5306 4.5306 10.2949
Ga 4.5306 4.5306 12.7286
Ga 5.5934 0.4473 6.6530
Ga 5.5934 2.5731 8.9116
Ni 1.5102 4.5306 0.0000
Ni 4.5306 1.5102 0.0000
```

Most intense lines, 2θ from 10° to 90°, in order of rising 2θ:
2theta  Rel. int.  h k l
31.1  51  1 1 4
31.8  100  2 0 2
37.7  29  2 0 4
40.7  36  1 1 6
42.3  62  2 2 0
46.1  24  2 0 6
53.4  27  3 1 4
68.9  20  3 1 8